# 1
AcLuMgHg: simulated X-ray powder pattern (CuKα), based on the GGA-PBE geometry in Alexandria.
Neutral-atom scattering factors, no anomalous dispersion.

Principal peaks in the range 15° ≤ 2θ ≤ 90°, in order of falling intensity:
32.47 deg, I = 100, (2 2 0); 57.92 deg, I = 39, (4 2 2); 46.58 deg, I = 19, (4 0 0); 19.71 deg, I = 19, (1 1 1); 77.38 deg, I = 17, (6 2 0); 67.99 deg, I = 12, (4 4 0); 38.27 deg, I = 11, (3 1 1); 22.80 deg, I = 9, (2 0 0); 51.04 deg, I = 5, (3 3 1); 86.43 deg, I = 4, (4 4 4); 52.46 deg, I = 4, (4 2 0); 61.80 deg, I = 4, (5 1 1)

Lattice parameters (Å, degrees): 7.8000 7.8000 7.8000 90.00 90.00 90.00
Space group F-43m (No. 216)
Symmetry-distinct sites (fractional):
1 Ac 0.0000 0.0000 0.0000 (multiplicity 4)
2 Lu 0.0000 0.0000 0.5000 (multiplicity 4)
3 Mg 0.2500 0.2500 0.2500 (multiplicity 4)
4 Hg 0.2500 0.2500 0.7500 (multiplicity 4)

---

# 2
AcMg5Hg2: simulated X-ray powder pattern (CuKα), based on the GGA-PBE geometry in Alexandria.
Neutral-atom scattering factors, no anomalous dispersion.

Principal peaks in the range 15° ≤ 2θ ≤ 90°, in order of falling intensity:
27.75 deg, I = 100, (1 1 2); 21.27 deg, I = 47, (0 2 0); 41.51 deg, I = 41, (1 3 2); 40.03 deg, I = 27, (0 2 4); 31.78 deg, I = 20, (1 0 3); 57.31 deg, I = 19, (2 2 4); 39.26 deg, I = 17, (2 0 0); 30.11 deg, I = 16, (1 2 1); 56.45 deg, I = 15, (1 1 6); 33.50 deg, I = 14, (0 0 4); 45.07 deg, I = 14, (2 2 0); 64.29 deg, I = 12, (3 1 2)

Lattice parameters (Å, degrees): 4.5901 8.3560 10.6985 90.00 90.00 90.00
Space group Immm (No. 71)
Symmetry-distinct sites (fractional):
1 Ac 0.0000 0.0000 0.0000 (multiplicity 2)
2 Mg 0.0000 0.1838 0.3485 (multiplicity 8)
3 Mg 0.0000 0.5000 0.0000 (multiplicity 2)
4 Hg 0.0000 0.5000 0.2612 (multiplicity 4)